Calculated powder diffractogram of Ba2InCo2O6 for λ = 1.5418 Å (Cu Kα), from DFT lattice parameters and positions (GGA+U).
Intensities are scaled so that the largest is 100.

Most intense lines, 2θ from 10° to 90°, by angle:
27.48°, I = 40, (1 0 4); 29.70°, I = 100, (1 1 0); 31.96°, I = 52, (0 1 5); 40.91°, I = 30, (0 2 4); 44.20°, I = 22, (2 0 5); 51.36°, I = 15, (2 1 4); 52.72°, I = 20, (3 0 0); 54.16°, I = 24, (1 2 5); 58.72°, I = 29, (1 1 9); 61.68°, I = 18, (2 2 0)

```
data_Ba2InCo2O6
_chemical_formula_sum 'Ba6 In3 Co6 O18'
_cell_length_a 6.0151
_cell_length_b 6.0151
_cell_length_c 16.6015
_cell_angle_alpha 90.00
_cell_angle_beta 90.00
_cell_angle_gamma 120.00
_symmetry_space_group_name_H-M 'R -3 m'
_symmetry_Int_Tables_number 166
_symmetry_space_group_name_Hall '-R 3 2"'
loop_
_atom_site_label
_atom_site_fract_x
_atom_site_fract_y
_atom_site_fract_z
Ba1 0.0000 0.0000 0.2222
In1 0.0000 0.0000 0.0000
Co1 0.0000 0.0000 0.4338
O1 0.0119 0.5059 0.7514
```